# 1
The following is a theoretical XRD peak list of Pr4CoSBr2. It was derived from a crystal structure in Alexandria, relaxed with PBE, using Cu Kα, 1.54184 Å.
No peak broadening, texture or thermal motion is included.

Cell and atoms:
```
data_Pr4CoSBr2
_symmetry_space_group_name_H-M 'P 1 2/m 1'
_symmetry_Int_Tables_number 10
_cell_length_a 7.402
_cell_length_b 3.986
_cell_length_c 7.914
_cell_angle_alpha 90.00
_cell_angle_beta 107.29
_cell_angle_gamma 90.00
loop_
_symmetry_equiv_pos_as_xyz
'x,y,z'
'-x,-y,-z'
'-x,y,-z'
'x,-y,z'
loop_
_atom_site_label
_atom_site_type_symbol
_atom_site_fract_x
_atom_site_fract_y
_atom_site_fract_z
Pr1 Pr 0.210 0.000 0.195
Pr2 Pr 0.262 0.500 0.796
Co1 Co 0.000 0.500 0.000
S1 S 0.500 0.000 0.000
Br1 Br 0.000 0.000 0.500
Br2 Br 0.500 0.500 0.500
```

Largest 10 diffraction maxima, low angle first, 10° ≤ 2θ ≤ 80°:
2theta	d [Å]	I/Imax	h k l
26.64	3.346	20	1 1 -1
29.02	3.077	59	2 0 -2
29.85	2.993	100	1 1 1
32.37	2.766	15	1 1 -2
35.64	2.519	15	0 0 3
41.08	2.197	31	1 1 -3
43.12	2.098	40	3 1 -1
45.51	1.993	18	0 2 0
54.88	1.673	20	2 2 -2
58.95	1.567	15	1 1 4


# 2
The following is a theoretical XRD peak list of AlZn3Cu2. It was derived from a crystal structure in Alexandria, relaxed with PBE, using Cu Kα, 1.54184 Å.
No peak broadening, texture or thermal motion is included.

Cell and atoms:
```
data_AlZn3Cu2
_symmetry_space_group_name_H-M 'C 1 2/c 1'
_symmetry_Int_Tables_number 15
_cell_length_a 5.381
_cell_length_b 7.550
_cell_length_c 8.514
_cell_angle_alpha 90.00
_cell_angle_beta 107.60
_cell_angle_gamma 90.00
loop_
_symmetry_equiv_pos_as_xyz
'x,y,z'
'-x,-y,-z'
'-x,y,-z+1/2'
'x,-y,z+1/2'
'x+1/2,y+1/2,z'
'-x+1/2,-y+1/2,-z'
'-x+1/2,y+1/2,-z+1/2'
'x+1/2,-y+1/2,z+1/2'
loop_
_atom_site_label
_atom_site_type_symbol
_atom_site_fract_x
_atom_site_fract_y
_atom_site_fract_z
Al1 Al 0.000 0.125 0.250
Zn1 Zn 0.000 0.374 0.750
Zn2 Zn 0.166 0.376 0.084
Cu1 Cu 0.166 0.125 0.582
```

Largest 10 diffraction maxima, low angle first, 10° ≤ 2θ ≤ 80°:
2theta	d [Å]	I/Imax	h k l
20.94	4.243	4	1 1 0
26.03	3.423	6	0 2 1
41.05	2.199	100	0 2 3
41.20	2.191	99	2 2 -1
47.32	1.921	33	2 0 2
48.04	1.894	31	2 0 -4
48.21	1.888	31	0 4 0
69.50	1.353	10	0 0 6
69.88	1.346	28	2 4 2
70.42	1.337	18	2 4 -4


# 3
The following is a theoretical XRD peak list of Mg2Cd9Pb. It was derived from a crystal structure in Alexandria, relaxed with PBE, using Cu Kα, 1.54184 Å.
No peak broadening, texture or thermal motion is included.

Cell and atoms:
```
data_Mg2Cd9Pb
_symmetry_space_group_name_H-M 'P 6/m m m'
_symmetry_Int_Tables_number 191
_symmetry_space_group_name_Hall '-P 6 2'
_cell_length_a 10.0935
_cell_length_b 10.0935
_cell_length_c 3.2142
_cell_angle_alpha 90.00
_cell_angle_beta 90.00
_cell_angle_gamma 120.00
loop_
_atom_site_label
_atom_site_type_symbol
_atom_site_fract_x
_atom_site_fract_y
_atom_site_fract_z
Mg1 Mg 0.3333 0.6667 0.0000
Cd1 Cd 0.0000 0.5000 0.0000
Cd2 Cd 0.1796 0.3591 0.5000
Pb1 Pb 0.0000 0.0000 0.0000
```

Largest 10 diffraction maxima, low angle first, 10° ≤ 2θ ≤ 80°:
2theta	d [Å]	I/Imax	h k l
10.12	8.741	14	1 0 0
26.99	3.304	23	2 1 0
33.04	2.711	20	1 1 1
34.64	2.589	100	2 0 1
35.58	2.523	96	2 2 0
41.85	2.159	12	3 0 1
50.50	1.807	31	4 0 1
63.30	1.469	30	4 2 1
63.90	1.457	14	6 0 0
69.32	1.356	26	2 2 2


# 4
The following is a theoretical XRD peak list of Zn3Rh3O8. It was derived from a crystal structure in Alexandria, relaxed with PBE, using Cu Kα, 1.54184 Å.
No peak broadening, texture or thermal motion is included.

Cell and atoms:
```
data_Zn3Rh3O8
_symmetry_space_group_name_H-M 'R -3 m'
_symmetry_Int_Tables_number 166
_symmetry_space_group_name_Hall '-R 3 2"'
_cell_length_a 6.1573
_cell_length_b 6.1573
_cell_length_c 14.6573
_cell_angle_alpha 90.00
_cell_angle_beta 90.00
_cell_angle_gamma 120.00
loop_
_atom_site_label
_atom_site_type_symbol
_atom_site_fract_x
_atom_site_fract_y
_atom_site_fract_z
Zn1 Zn 0.0000 0.0000 0.0000
Zn2 Zn 0.0000 0.0000 0.3820
Rh1 Rh 0.0000 0.5000 0.5000
O1 O 0.0000 0.0000 0.2405
O2 O 0.0232 0.5116 0.7572
```

Largest 10 diffraction maxima, low angle first, 10° ≤ 2θ ≤ 80°:
2theta	d [Å]	I/Imax	h k l
18.16	4.886	40	0 0 3
29.58	3.020	34	1 0 4
34.18	2.623	88	0 2 1
34.43	2.605	100	1 1 3
34.93	2.569	59	0 1 5
35.84	2.506	48	2 0 2
41.90	2.156	57	0 2 4
55.32	1.661	36	1 2 5
60.11	1.539	56	2 2 0
61.40	1.510	50	2 0 8


# 5
The following is a theoretical XRD peak list of K2TcMoN4. It was derived from a crystal structure in Alexandria, relaxed with PBE, using Cu Kα, 1.54184 Å.
No peak broadening, texture or thermal motion is included.

Cell and atoms:
```
data_K2TcMoN4
_symmetry_space_group_name_H-M 'P m m n'
_symmetry_Int_Tables_number 59
_cell_length_a 6.132
_cell_length_b 6.675
_cell_length_c 6.839
_cell_angle_alpha 90.00
_cell_angle_beta 90.00
_cell_angle_gamma 90.00
loop_
_symmetry_equiv_pos_as_xyz
'x,y,z'
'-x,-y,-z'
'-x+1/2,-y+1/2,z'
'x+1/2,y+1/2,-z'
'x+1/2,-y,-z'
'-x+1/2,y,z'
'-x,y+1/2,-z'
'x,-y+1/2,z'
loop_
_atom_site_label
_atom_site_type_symbol
_atom_site_fract_x
_atom_site_fract_y
_atom_site_fract_z
K1 K 0.250 0.001 0.207
Tc1 Tc 0.250 0.250 0.662
Mo1 Mo 0.250 0.750 0.655
N1 N 0.006 0.250 0.497
N2 N 0.250 0.001 0.800
```

Largest 10 diffraction maxima, low angle first, 10° ≤ 2θ ≤ 80°:
2theta	d [Å]	I/Imax	h k l
12.94	6.839	59	0 0 1
19.44	4.566	54	1 0 1
29.13	3.066	59	2 0 0
29.79	3.000	40	0 2 1
29.92	2.987	59	1 0 2
33.25	2.694	100	1 2 1
39.48	2.282	27	2 0 2
40.53	2.226	29	1 2 2
54.31	1.689	24	3 2 1
57.44	1.604	35	2 2 3


# 6
The following is a theoretical XRD peak list of Nd2SmErTm4. It was derived from a crystal structure in Alexandria, relaxed with PBE, using Cu Kα, 1.54184 Å.
No peak broadening, texture or thermal motion is included.

Cell and atoms:
```
data_Nd2SmErTm4
_symmetry_space_group_name_H-M 'P m m m'
_symmetry_Int_Tables_number 47
_cell_length_a 5.047
_cell_length_b 5.066
_cell_length_c 9.939
_cell_angle_alpha 90.00
_cell_angle_beta 90.00
_cell_angle_gamma 90.00
loop_
_symmetry_equiv_pos_as_xyz
'x,y,z'
'-x,-y,-z'
'-x,-y,z'
'x,y,-z'
'x,-y,-z'
'-x,y,z'
'-x,y,-z'
'x,-y,z'
loop_
_atom_site_label
_atom_site_type_symbol
_atom_site_fract_x
_atom_site_fract_y
_atom_site_fract_z
Nd1 Nd 0.000 0.000 0.000
Nd2 Nd 0.500 0.500 0.500
Sm1 Sm 0.000 0.000 0.500
Er1 Er 0.500 0.500 0.000
Tm1 Tm 0.000 0.500 0.248
Tm2 Tm 0.500 0.000 0.249
```

Largest 10 diffraction maxima, low angle first, 10° ≤ 2θ ≤ 80°:
2theta	d [Å]	I/Imax	h k l
30.81	2.902	100	1 1 2
35.44	2.533	17	0 2 0
35.57	2.524	17	2 0 0
36.15	2.485	16	0 0 4
51.09	1.788	12	2 2 0
51.57	1.772	24	2 0 4
60.77	1.524	15	1 3 2
60.95	1.520	14	3 1 2
61.72	1.503	14	1 1 6
64.18	1.451	12	2 2 4


# 7
The following is a theoretical XRD peak list of Y3AlTl4S8. It was derived from a crystal structure in Alexandria, relaxed with PBE, using Cu Kα, 1.54184 Å.
No peak broadening, texture or thermal motion is included.

Cell and atoms:
```
data_Y3AlTl4S8
_symmetry_space_group_name_H-M 'R -3 m'
_symmetry_Int_Tables_number 166
_symmetry_space_group_name_Hall '-R 3 2"'
_cell_length_a 7.8875
_cell_length_b 7.8875
_cell_length_c 22.5710
_cell_angle_alpha 90.00
_cell_angle_beta 90.00
_cell_angle_gamma 120.00
loop_
_atom_site_label
_atom_site_type_symbol
_atom_site_fract_x
_atom_site_fract_y
_atom_site_fract_z
Y1 Y 0.0000 0.5000 0.0000
Al1 Al 0.0000 0.0000 0.0000
Tl1 Tl 0.0000 0.0000 0.5000
Tl2 Tl 0.0000 0.5000 0.5000
S1 S 0.0000 0.0000 0.2665
S2 S 0.0253 0.5127 0.7294
```

Largest 10 diffraction maxima, low angle first, 10° ≤ 2θ ≤ 80°:
2theta	d [Å]	I/Imax	h k l
11.76	7.524	23	0 0 3
23.65	3.762	29	0 0 6
26.39	3.377	22	0 2 1
27.28	3.269	52	2 0 2
30.60	2.922	100	0 2 4
32.88	2.724	20	2 0 5
41.51	2.175	38	2 0 8
46.03	1.972	33	2 2 0
48.35	1.882	23	0 0 12
52.39	1.746	22	2 2 6


# 8
The following is a theoretical XRD peak list of TlAg2. It was derived from a crystal structure in Alexandria, relaxed with PBE, using Cu Kα, 1.54184 Å.
No peak broadening, texture or thermal motion is included.

Cell and atoms:
```
data_TlAg2
_symmetry_space_group_name_H-M 'P n n m'
_symmetry_Int_Tables_number 58
_cell_length_a 3.111
_cell_length_b 9.266
_cell_length_c 4.394
_cell_angle_alpha 90.00
_cell_angle_beta 90.00
_cell_angle_gamma 90.00
loop_
_symmetry_equiv_pos_as_xyz
'x,y,z'
'-x,-y,-z'
'-x,-y,z'
'x,y,-z'
'x+1/2,-y+1/2,-z+1/2'
'-x+1/2,y+1/2,z+1/2'
'-x+1/2,y+1/2,-z+1/2'
'x+1/2,-y+1/2,z+1/2'
loop_
_atom_site_label
_atom_site_type_symbol
_atom_site_fract_x
_atom_site_fract_y
_atom_site_fract_z
Tl1 Tl 0.000 0.000 0.000
Ag1 Ag 0.003 0.325 0.000
```

Largest 10 diffraction maxima, low angle first, 10° ≤ 2θ ≤ 80°:
2theta	d [Å]	I/Imax	h k l
22.39	3.970	16	0 1 1
35.35	2.539	100	1 0 1
35.53	2.527	97	0 3 1
41.09	2.197	33	0 0 2
41.19	2.192	64	1 3 0
59.58	1.552	42	1 3 2
71.17	1.325	37	1 0 3
71.26	1.323	12	0 3 3
71.50	1.319	24	1 6 1
74.79	1.269	11	2 0 2


# 9
The following is a theoretical XRD peak list of HoBeCoGe2. It was derived from a crystal structure in Alexandria, relaxed with PBE, using Cu Kα, 1.54184 Å.
No peak broadening, texture or thermal motion is included.

Cell and atoms:
```
data_HoBeCoGe2
_symmetry_space_group_name_H-M 'I -4 m 2'
_symmetry_Int_Tables_number 119
_symmetry_space_group_name_Hall 'I -4 -2'
_cell_length_a 3.895
_cell_length_b 3.895
_cell_length_c 10.250
_cell_angle_alpha 90.00
_cell_angle_beta 90.00
_cell_angle_gamma 90.00
loop_
_atom_site_label
_atom_site_type_symbol
_atom_site_fract_x
_atom_site_fract_y
_atom_site_fract_z
Ho1 Ho 0.000 0.000 0.000
Be1 Be 0.000 0.500 0.750
Co1 Co 0.000 0.500 0.250
Ge1 Ge 0.000 0.000 0.375
```

Largest 10 diffraction maxima, low angle first, 10° ≤ 2θ ≤ 80°:
2theta	d [Å]	I/Imax	h k l
17.30	5.125	15	0 0 2
24.45	3.641	20	1 0 1
32.51	2.754	47	1 1 0
34.93	2.569	100	1 0 3
37.05	2.426	60	1 1 2
46.63	1.948	42	2 0 0
50.29	1.814	35	1 0 5
59.57	1.552	43	2 1 3
68.08	1.377	13	2 2 0
71.00	1.327	25	2 1 5


# 10
The following is a theoretical XRD peak list of Y4B5C2. It was derived from a crystal structure in Alexandria, relaxed with PBE, using Cu Kα, 1.54184 Å.
No peak broadening, texture or thermal motion is included.

Cell and atoms:
```
data_Y4B5C2
_symmetry_space_group_name_H-M 'P 1 2/m 1'
_symmetry_Int_Tables_number 10
_cell_length_a 6.592
_cell_length_b 3.627
_cell_length_c 6.636
_cell_angle_alpha 90.00
_cell_angle_beta 94.66
_cell_angle_gamma 90.00
loop_
_symmetry_equiv_pos_as_xyz
'x,y,z'
'-x,-y,-z'
'-x,y,-z'
'x,-y,z'
loop_
_atom_site_label
_atom_site_type_symbol
_atom_site_fract_x
_atom_site_fract_y
_atom_site_fract_z
Y1 Y 0.226 0.000 0.395
Y2 Y 0.236 0.000 0.921
B1 B 0.097 0.500 0.691
B2 B 0.349 0.500 0.669
B3 B 0.500 0.500 0.500
C1 C 0.037 0.500 0.117
```

Largest 10 diffraction maxima, low angle first, 10° ≤ 2θ ≤ 80°:
2theta	d [Å]	I/Imax	h k l
24.55	3.627	78	0 1 0
27.14	3.285	73	2 0 0
29.23	3.055	51	1 0 -2
31.25	2.862	45	1 0 2
36.92	2.434	100	2 1 0
38.53	2.337	55	1 1 -2
40.14	2.247	68	1 1 2
44.88	2.020	19	2 1 -2
50.32	1.813	21	0 2 0
58.09	1.588	20	2 2 0


# 11
The following is a theoretical XRD peak list of BaUZnSe4. It was derived from a crystal structure in Alexandria, relaxed with PBE, using Cu Kα, 1.54184 Å.
No peak broadening, texture or thermal motion is included.

Cell and atoms:
```
data_BaUZnSe4
_symmetry_space_group_name_H-M 'P 1 21/m 1'
_symmetry_Int_Tables_number 11
_cell_length_a 6.714
_cell_length_b 6.981
_cell_length_c 8.887
_cell_angle_alpha 90.00
_cell_angle_beta 108.42
_cell_angle_gamma 90.00
loop_
_symmetry_equiv_pos_as_xyz
'x,y,z'
'-x,-y,-z'
'-x,y+1/2,-z'
'x,-y+1/2,z'
loop_
_atom_site_label
_atom_site_type_symbol
_atom_site_fract_x
_atom_site_fract_y
_atom_site_fract_z
Ba1 Ba 0.238 0.250 0.054
U1 U 0.223 0.250 0.555
Zn1 Zn 0.231 0.750 0.328
Se1 Se 0.026 0.515 0.717
Se2 Se 0.431 0.750 0.144
Se3 Se 0.469 0.750 0.595
```

Largest 10 diffraction maxima, low angle first, 10° ≤ 2θ ≤ 80°:
2theta	d [Å]	I/Imax	h k l
10.49	8.432	76	0 0 1
18.86	4.705	76	1 1 0
25.52	3.490	66	0 2 0
29.32	3.046	34	2 0 -2
31.63	2.829	100	1 1 2
32.06	2.792	94	2 1 -2
33.33	2.689	55	0 2 2
33.46	2.678	47	1 2 -2
38.26	2.353	47	2 2 0
40.59	2.222	52	1 0 -4


# 12
The following is a theoretical XRD peak list of Ba4Pa3O10. It was derived from a crystal structure in Alexandria, relaxed with PBE, using Cu Kα, 1.54184 Å.
No peak broadening, texture or thermal motion is included.

Cell and atoms:
```
data_Ba4Pa3O10
_symmetry_space_group_name_H-M 'I 4/m m m'
_symmetry_Int_Tables_number 139
_symmetry_space_group_name_Hall '-I 4 2'
_cell_length_a 4.471
_cell_length_b 4.471
_cell_length_c 32.151
_cell_angle_alpha 90.00
_cell_angle_beta 90.00
_cell_angle_gamma 90.00
loop_
_atom_site_label
_atom_site_type_symbol
_atom_site_fract_x
_atom_site_fract_y
_atom_site_fract_z
Ba1 Ba 0.000 0.000 0.072
Ba2 Ba 0.000 0.000 0.211
Pa1 Pa 0.000 0.000 0.360
Pa2 Pa 0.000 0.000 0.500
O1 O 0.000 0.000 0.292
O2 O 0.000 0.000 0.431
O3 O 0.000 0.500 0.000
O4 O 0.000 0.500 0.134
```

Largest 10 diffraction maxima, low angle first, 10° ≤ 2θ ≤ 80°:
2theta	d [Å]	I/Imax	h k l
20.05	4.428	11	1 0 1
27.85	3.204	100	1 0 7
28.23	3.161	52	1 1 0
39.23	2.297	14	0 0 14
40.35	2.235	27	2 0 0
49.03	1.858	23	1 1 14
49.74	1.833	42	2 1 7
57.54	1.602	18	2 0 14
78.72	1.216	11	2 1 21
79.63	1.204	11	3 1 14


# 13
The following is a theoretical XRD peak list of CsLi2Zn2. It was derived from a crystal structure in Alexandria, relaxed with PBE, using Cu Kα, 1.54184 Å.
No peak broadening, texture or thermal motion is included.

Cell and atoms:
```
data_CsLi2Zn2
_symmetry_space_group_name_H-M 'P 4/m b m'
_symmetry_Int_Tables_number 127
_symmetry_space_group_name_Hall '-P 4 2ab'
_cell_length_a 8.592
_cell_length_b 8.592
_cell_length_c 3.516
_cell_angle_alpha 90.00
_cell_angle_beta 90.00
_cell_angle_gamma 90.00
loop_
_atom_site_label
_atom_site_type_symbol
_atom_site_fract_x
_atom_site_fract_y
_atom_site_fract_z
Cs1 Cs 0.000 0.000 0.000
Li1 Li 0.145 0.355 0.000
Zn1 Zn 0.108 0.608 0.500
```

Largest 10 diffraction maxima, low angle first, 10° ≤ 2θ ≤ 80°:
2theta	d [Å]	I/Imax	h k l
20.68	4.296	54	2 0 0
23.15	3.842	21	2 1 0
29.36	3.042	100	1 1 1
32.96	2.718	59	3 1 0
34.58	2.594	22	2 1 1
46.01	1.973	17	3 2 1
49.74	1.833	26	4 0 1
54.42	1.686	17	4 2 1
54.46	1.685	18	5 1 0
62.98	1.476	14	3 1 2